For ZnCdTe, DFT lattice parameters and positions (PBE) gives the computed powder X-ray diffraction pattern in this record (λ = 1.5418 Å (Cu Kα)).
Intensities are scaled so that the largest is 100.

Cell and atoms:
Unit cell a=5.139 b=5.139 c=6.863 alpha=108.59 beta=108.59 gamma=90.74
Fractional positions:
Zn  0.233  0.767  0.500
Zn  0.767  0.233  0.000
Cd  0.467  0.623  0.187
Cd  0.623  0.467  0.687
Te  0.141  0.899  0.886
Te  0.899  0.141  0.386

Peak list (10 most intense, 10° ≤ 2θ ≤ 90°, low angle first)
27.73°, I 100
28.44°, I 62
28.74°, I 70
34.98°, I 30
39.91°, I 60
40.82°, I 27
41.81°, I 27
44.59°, I 17
44.79°, I 20
47.15°, I 18